This entry pairs a crystal structure of Al7Ag5 with its calculated X-ray diffraction stick pattern. Radiation: Cu Kα, 1.54184 Å. Structure: a DFT-relaxed cell (PBE, Alexandria).
No peak broadening, texture or thermal motion is included.

Structure:
a = 4.006 Å, b = 8.203 Å, c = 6.469 Å
α = 90.00°, β = 106.37°, γ = 90.00°
Fractional positions:
Al (0.000, 0.000, 0.000)
Al (0.170, 0.735, 0.337)
Al (0.331, 0.988, 0.664)
Al (0.335, 0.487, 0.669)
Al (0.665, 0.487, 0.331)
Al (0.669, 0.988, 0.336)
Al (0.830, 0.735, 0.663)
Ag (0.000, 0.502, 0.000)
Ag (0.169, 0.237, 0.335)
Ag (0.500, 0.240, 0.000)
Ag (0.500, 0.759, 0.000)
Ag (0.831, 0.237, 0.665)

Top 6 peaks for 2θ = 10–90°, by intensity:
| two_theta | I_rel |
| --- | --- |
| 37.82 | 100 |
| 38.59 | 94 |
| 10.78 | 54 |
| 43.75 | 35 |
| 45.29 | 33 |
| 44.16 | 32 |